This entry pairs a crystal structure of NaCeCd14 with its simulated X-ray powder pattern. Radiation: Cu Kα (λ = 1.5418 Å). Structure: a cell relaxed with PBE.

Top 8 peaks for 2θ = 5–70°, in order of rising 2θ:
(0 0 1), 2θ = 10.43°, I 20; (1 0 1), 2θ = 16.93°, I 25; (2 0 2), 2θ = 34.25°, I 1000; (2 2 0), 2θ = 38.24°, I 370; (0 0 4), 2θ = 42.63°, I 131; (4 0 0), 2θ = 55.20°, I 122; (2 2 4), 2θ = 58.60°, I 196; (4 2 2), 2θ = 66.59°, I 267

Cell and atoms:
a = 6.6563 Å, b = 6.6563 Å, c = 8.4827 Å
α = 90.00°, β = 90.00°, γ = 90.00°
Sites, in units of the cell vectors:
Na (0.0000, 0.0000, 0.0000)
Ce (0.5000, 0.5000, 0.0000)
Cd (0.0000, 0.0000, 0.5000)
Cd (0.0000, 0.5000, 0.0000)
Cd (0.0000, 0.5000, 0.5000)
Cd (0.2449, 0.2449, 0.2598)
Cd (0.2449, 0.2449, 0.7402)
Cd (0.2449, 0.7551, 0.2598)
Cd (0.2449, 0.7551, 0.7402)
Cd (0.5000, 0.0000, 0.0000)
Cd (0.5000, 0.0000, 0.5000)
Cd (0.5000, 0.5000, 0.5000)
Cd (0.7551, 0.2449, 0.2598)
Cd (0.7551, 0.2449, 0.7402)
Cd (0.7551, 0.7551, 0.2598)
Cd (0.7551, 0.7551, 0.7402)